Entry 1:
Pu4SbSe3: theoretical XRD peak list (CuKα), based on the GGA-PBE geometry in Alexandria.

Structure:
```
Pu4SbSe3
1.0
7.2851 0.0000 0.0000
0.0000 4.2032 0.0000
-2.4295 0.0000 6.9317
Pu Sb Se
4 1 3
Cartesian
1.1553 0.0000 1.6481 Pu
-0.0585 2.1016 5.2410 Pu
4.9141 2.1016 1.6907 Pu
3.7003 0.0000 5.2836 Pu
2.4278 2.1016 3.4658 Sb
-1.2148 0.0000 3.4658 Se
0.0000 2.1016 0.0000 Se
3.6426 0.0000 0.0000 Se
```

Peak list (10 most intense, 2θ = 10–90°, by angle)
25.9 deg, 3.437 Å, intensity 27; 30.0 deg, 2.983 Å, intensity 100; 42.7 deg, 2.116 Å, intensity 38; 43.0 deg, 2.102 Å, intensity 38; 50.8 deg, 1.797 Å, intensity 9; 53.3 deg, 1.718 Å, intensity 20; 62.3 deg, 1.491 Å, intensity 13; 70.4 deg, 1.337 Å, intensity 17; 70.8 deg, 1.330 Å, intensity 17; 78.7 deg, 1.216 Å, intensity 13

***

Entry 2:
Pu3SbSe2: theoretical XRD peak list (CuKα), based on the GGA-PBE geometry in Alexandria.

Structure:
```
Pu3SbSe2
1.0
3.6733 -6.3954 0.0000
3.6733 6.3954 0.0000
-2.4665 0.0000 6.9648
Pu Sb Se
6 2 4
Cartesian
1.8366 3.1977 0.0000 Pu
0.4782 1.1403 3.4583 Pu
-0.7551 -1.1403 6.9407 Pu
0.6034 -3.1977 3.4824 Pu
5.6351 1.1403 0.0240 Pu
4.4018 -1.1403 3.5064 Pu
3.0566 1.0015 1.7412 Sb
1.8234 -1.0015 5.2236 Sb
3.0566 5.3234 1.7412 Se
1.8234 3.1270 5.2236 Se
3.0566 -3.1270 1.7412 Se
1.8234 -5.3234 5.2236 Se
```

Peak list (10 most intense, 2θ = 10–90°, by angle)
25.6 deg, 3.480 Å, intensity 26; 29.7 deg, 3.010 Å, intensity 100; 42.4 deg, 2.132 Å, intensity 39; 42.6 deg, 2.124 Å, intensity 37; 50.2 deg, 1.816 Å, intensity 9; 52.6 deg, 1.740 Å, intensity 20; 61.6 deg, 1.505 Å, intensity 12; 69.8 deg, 1.348 Å, intensity 17; 70.0 deg, 1.344 Å, intensity 11; 77.6 deg, 1.231 Å, intensity 11

***

Entry 3:
Sm2PuSb3: theoretical XRD peak list (CuKα), based on the GGA-PBE geometry in Alexandria.

Structure:
```
Sm2PuSb3
1.0
4.4661 0.0000 0.0000
0.0000 6.2950 0.0000
0.0000 0.0000 13.3495
Sm Pu Sb
4 2 6
Cartesian
0.0000 0.0000 2.2352 Sm
0.0000 0.0000 11.1143 Sm
2.2331 3.1475 4.4396 Sm
2.2331 3.1475 8.9099 Sm
0.0000 0.0000 6.6748 Pu
2.2331 3.1475 0.0000 Pu
0.0000 3.1475 2.1845 Sb
0.0000 3.1475 6.6748 Sb
0.0000 3.1475 11.1650 Sb
2.2331 0.0000 0.0000 Sb
2.2331 0.0000 4.4902 Sb
2.2331 0.0000 8.8593 Sb
```

Peak list (10 most intense, 2θ = 10–90°, by angle)
24.5 deg, 3.638 Å, intensity 7; 28.3 deg, 3.151 Å, intensity 100; 40.4 deg, 2.233 Å, intensity 13; 40.5 deg, 2.227 Å, intensity 64; 50.1 deg, 1.821 Å, intensity 14; 50.2 deg, 1.817 Å, intensity 14; 58.6 deg, 1.575 Å, intensity 13; 66.4 deg, 1.408 Å, intensity 30; 73.5 deg, 1.288 Å, intensity 9; 73.7 deg, 1.285 Å, intensity 13